Theoretical powder X-ray diffraction pattern
Compound: SnWO5
Radiation: CuKα
Structure: a PBE+U-relaxed structure
Peak positions follow from Bragg's law for the DFT cell and can differ from measured ones.

Largest 8 diffraction maxima, sorted by position, 2θ from 15° to 90°:
| 2θ/deg | I (rel.) | (hkl) |
| --- | --- | --- |
| 23.0 | 84 | 0 0 2 |
| 27.3 | 57 | 0 2 0 |
| 27.5 | 100 | 1 1 0 |
| 36.0 | 35 | 0 2 2 |
| 36.1 | 61 | 1 1 2 |
| 48.3 | 27 | 1 3 0 |
| 54.2 | 27 | 1 3 2 |
| 55.2 | 47 | 0 2 4 |

Cell and atoms:
Lattice parameters (Å, degrees): 3.7424 6.5369 7.7393 90.00 90.00 90.00
Element x y z (fractional)
Sn (0.0000, 0.0000, 0.0000)
Sn (0.5000, 0.5000, 0.5000)
W (0.0000, 0.0000, 0.5000)
W (0.5000, 0.5000, 0.0000)
O (0.0000, 0.0000, 0.2538)
O (0.0000, 0.0000, 0.7462)
O (0.0000, 0.3035, 0.5000)
O (0.0000, 0.5000, 0.0000)
O (0.0000, 0.6965, 0.5000)
O (0.5000, 0.0000, 0.5000)
O (0.5000, 0.1965, 0.0000)
O (0.5000, 0.5000, 0.2462)
O (0.5000, 0.5000, 0.7538)
O (0.5000, 0.8035, 0.0000)